(1)
The following is a simulated X-ray diffraction stick pattern of MgNbO3. It was derived from a crystal structure in Alexandria, relaxed with GGA-PBE, using λ = 1.5418 Å (Cu Kα).
Intensities are scaled so that the largest is 100.

Structure:
Cell lengths 7.4207, 3.1855, 5.0157 Å; angles 90.00, 90.00, 90.00 degrees
Space group Pmma (No. 51)
Unique sites:
Mg  0.2500  0.0000  0.0407
Nb  0.0000  0.5000  0.5000
O  0.0648  0.0000  0.7472
O  0.2500  0.5000  0.2857

The 10 most intense peaks (5° ≤ 2θ ≤ 70°), by angle:
hkl 0 0 1, 17.68 deg, d = 5.016 Å, intensity 76
hkl 2 0 0, 23.98 deg, d = 3.710 Å, intensity 38
hkl 2 0 1, 29.96 deg, d = 2.983 Å, intensity 100
hkl 0 1 1, 33.32 deg, d = 2.689 Å, intensity 84
hkl 2 1 0, 37.20 deg, d = 2.417 Å, intensity 27
hkl 2 1 1, 41.47 deg, d = 2.177 Å, intensity 26
hkl 0 1 2, 46.06 deg, d = 1.970 Å, intensity 17
hkl 2 1 2, 52.59 deg, d = 1.740 Å, intensity 73
hkl 4 1 1, 60.64 deg, d = 1.527 Å, intensity 28
hkl 2 2 1, 66.56 deg, d = 1.405 Å, intensity 19



(2)
The following is a simulated X-ray diffraction stick pattern of MgNb2O6. It was derived from a crystal structure in Alexandria, relaxed with GGA-PBE, using λ = 1.5418 Å (Cu Kα).
Intensities are scaled so that the largest is 100.

Structure:
Cell lengths 14.4041, 5.8196, 5.0951 Å; angles 90.00, 90.00, 90.00 degrees
Space group Pbcn (No. 60)
Unique sites:
Mg  0.0000  0.1654  0.2500
Nb  0.1598  0.3165  0.7467
O  0.0787  0.1160  0.5905
O  0.0959  0.3940  0.0714
O  0.2445  0.3741  0.4183

The 10 most intense peaks (5° ≤ 2θ ≤ 70°), by angle:
hkl 2 0 0, 12.29 deg, d = 7.202 Å, intensity 19
hkl 3 1 0, 24.03 deg, d = 3.704 Å, intensity 51
hkl 4 0 0, 24.72 deg, d = 3.601 Å, intensity 12
hkl 3 1 1, 29.82 deg, d = 2.996 Å, intensity 100
hkl 0 0 2, 35.23 deg, d = 2.548 Å, intensity 12
hkl 3 3 0, 50.76 deg, d = 1.799 Å, intensity 14
hkl 6 0 2, 52.37 deg, d = 1.747 Å, intensity 17
hkl 6 2 1, 52.58 deg, d = 1.740 Å, intensity 21
hkl 3 1 3, 59.92 deg, d = 1.544 Å, intensity 16
hkl 3 3 2, 63.29 deg, d = 1.469 Å, intensity 12